This entry pairs a crystal structure of NbCd2CoO6 with its simulated powder XRD pattern. Radiation: Cu Kα X-rays. Structure: a cell relaxed with PBE+U.
Peak positions follow from Bragg's law for the DFT cell and can differ from measured ones.

Largest 6 diffraction maxima, sorted by position, 5° ≤ 2θ ≤ 70°:
| 2θ/deg | Rel. int. | h k l |
| --- | --- | --- |
| 32.7 | 24 | 0 2 0 |
| 33.0 | 100 | 1 1 1 |
| 33.3 | 24 | 2 0 -2 |
| 47.4 | 25 | 2 2 -2 |
| 58.6 | 25 | 0 2 4 |
| 59.4 | 22 | 3 1 -5 |

Cell and atoms:
```
data_NbCd2CoO6
_cell_length_a 5.3749
_cell_length_b 5.4694
_cell_length_c 9.3783
_cell_angle_alpha 90.00
_cell_angle_beta 124.90
_cell_angle_gamma 90.00
_symmetry_space_group_name_H-M 'P 1 21/c 1'
_symmetry_Int_Tables_number 14
loop_
_symmetry_equiv_pos_as_xyz
'x,y,z'
'-x,-y,-z'
'-x,y+1/2,-z+1/2'
'x,-y+1/2,z+1/2'
loop_
_atom_site_label
_atom_site_type_symbol
_atom_site_fract_x
_atom_site_fract_y
_atom_site_fract_z
Nb1 Nb 0.0000 0.0000 0.0000
Cd1 Cd 0.2587 0.0388 0.7495
Co1 Co 0.5000 0.0000 0.5000
O1 O 0.1639 0.0264 0.2559
O2 O 0.2581 0.7011 0.0488
O3 O 0.3486 0.2099 0.0463
```